Diffraction record for U2PS. The PXRD pattern is theoretical, not measured: it uses a DFT-relaxed cell (PBE, the Materials Project) and Cu Ka.
No peak broadening, texture or thermal motion is included.

Atomic structure:
Cell: 3.898 3.898 5.506 Å, 90.00 90.00 90.00°
Fractional coordinates of all 4 atoms:
U 0.000 0.000 0.000
U 0.500 0.500 0.500
P 0.000 0.000 0.500
S 0.500 0.500 0.000

Principal peaks in the range 2θ = 10–90°, low angle first:
Position (°2θ)	I (rel.)
28.05	100.0
32.50	92.7
46.62	68.4
55.29	49.7
77.47	32.8
86.53	25.9

---

Diffraction record for UPS. The PXRD pattern is theoretical, not measured: it uses a DFT-relaxed cell (PBE, the Materials Project) and Cu Ka.
No peak broadening, texture or thermal motion is included.

Atomic structure:
Cell: 3.763 3.763 7.963 Å, 90.00 90.00 90.00°
Fractional coordinates of all 6 atoms:
U 0.250 0.250 0.222
U 0.750 0.750 0.778
P 0.250 0.750 0.500
P 0.750 0.250 0.500
S 0.250 0.250 0.863
S 0.750 0.750 0.137

Principal peaks in the range 2θ = 10–90°, low angle first:
Position (°2θ)	I (rel.)
22.33	32.4
26.19	100.0
33.70	46.2
40.79	50.4
41.64	35.4
55.84	27.2

---

Diffraction record for U2PS. The PXRD pattern is theoretical, not measured: it uses a DFT-relaxed cell (PBE, the Materials Project) and Cu Ka.
No peak broadening, texture or thermal motion is included.

Atomic structure:
Cell: 6.752 6.752 6.752 Å, 33.66 33.66 33.66°
Fractional coordinates of all 4 atoms:
U 0.250 0.250 0.250
U 0.750 0.750 0.750
P 0.500 0.500 0.500
S 0.000 0.000 0.000

Principal peaks in the range 2θ = 10–90°, low angle first:
Position (°2θ)	I (rel.)
27.98	100.0
32.42	92.8
46.45	34.4
46.56	34.1
55.12	37.4
86.21	19.4

---

Diffraction record for UP2S6. The PXRD pattern is theoretical, not measured: it uses a DFT-relaxed cell (PBE, the Materials Project) and Cu Ka.
No peak broadening, texture or thermal motion is included.

Atomic structure:
Cell: 7.062 7.062 9.721 Å, 90.00 90.00 90.00°
Fractional coordinates of all 18 atoms:
U 0.000 0.000 0.250
U 0.000 0.000 0.750
P 0.058 0.346 0.000
P 0.346 0.942 0.500
P 0.654 0.058 0.500
P 0.942 0.654 0.000
S 0.172 0.174 0.500
S 0.174 0.828 0.000
S 0.208 0.315 0.176
S 0.208 0.315 0.824
S 0.315 0.792 0.324
S 0.315 0.792 0.676
S 0.685 0.208 0.324
S 0.685 0.208 0.676
S 0.792 0.685 0.176
S 0.792 0.685 0.824
S 0.826 0.172 0.000
S 0.828 0.826 0.500

Principal peaks in the range 2θ = 10–90°, low angle first:
Position (°2θ)	I (rel.)
12.53	100.0
17.76	23.9
22.20	24.2
25.58	31.8
28.26	22.1
33.85	42.0

---

Diffraction record for V3P4S12. The PXRD pattern is theoretical, not measured: it uses a DFT-relaxed cell (PBE, the Materials Project) and Cu Ka.
No peak broadening, texture or thermal motion is included.

Atomic structure:
Cell: 5.973 5.973 13.412 Å, 94.18 94.18 120.44°
Fractional coordinates of all 19 atoms:
V 0.000 0.000 0.000
V 0.506 0.494 0.500
V 0.847 0.153 0.500
P 0.149 0.795 0.418
P 0.205 0.851 0.582
P 0.648 0.294 0.918
P 0.706 0.352 0.082
S 0.030 0.711 0.121
S 0.138 0.123 0.383
S 0.216 0.524 0.618
S 0.289 0.970 0.879
S 0.366 0.318 0.120
S 0.476 0.784 0.382
S 0.558 0.205 0.615
S 0.682 0.634 0.880
S 0.755 0.051 0.121
S 0.795 0.442 0.385
S 0.877 0.862 0.617
S 0.949 0.245 0.879

Principal peaks in the range 2θ = 10–90°, low angle first:
Position (°2θ)	I (rel.)
13.35	100.0
26.88	26.9
30.26	27.8
35.05	84.5
35.21	41.3
53.37	29.2

---

Diffraction record for V2P4S13. The PXRD pattern is theoretical, not measured: it uses a DFT-relaxed cell (PBE, the Materials Project) and Cu Ka.
No peak broadening, texture or thermal motion is included.

Atomic structure:
Cell: 9.507 9.912 11.997 Å, 72.33 72.41 70.22°
Fractional coordinates of all 38 atoms:
V 0.102 0.005 0.110
V 0.396 0.496 0.391
V 0.604 0.504 0.609
V 0.898 0.995 0.890
P 0.001 0.745 0.105
P 0.258 0.430 0.227
P 0.272 0.066 0.252
P 0.374 0.765 0.477
P 0.626 0.235 0.523
P 0.728 0.934 0.748
P 0.742 0.570 0.773
P 0.999 0.255 0.895
S 0.016 0.173 0.752
S 0.044 0.129 0.277
S 0.078 0.512 0.131
S 0.144 0.850 0.965
S 0.185 0.393 0.405
S 0.195 0.204 0.947
S 0.206 0.698 0.454
S 0.356 0.994 0.413
S 0.358 0.923 0.143
S 0.385 0.237 0.157
S 0.389 0.727 0.648
S 0.411 0.549 0.178
S 0.426 0.367 0.606
S 0.574 0.633 0.394
S 0.589 0.451 0.822
S 0.611 0.273 0.352
S 0.615 0.763 0.843
S 0.642 0.077 0.857
S 0.644 0.006 0.587
S 0.794 0.302 0.546
S 0.805 0.796 0.053
S 0.815 0.607 0.595
S 0.856 0.150 0.035
S 0.922 0.488 0.869
S 0.956 0.871 0.723
S 0.984 0.827 0.248

Principal peaks in the range 2θ = 10–90°, low angle first:
Position (°2θ)	I (rel.)
11.10	12.9
12.00	10.8
13.89	12.4
14.22	100.0
31.41	23.6
33.76	16.8

---

Diffraction record for Zn2P3S9. The PXRD pattern is theoretical, not measured: it uses a DFT-relaxed cell (PBE, the Materials Project) and Cu Ka.
No peak broadening, texture or thermal motion is included.

Atomic structure:
Cell: 10.852 10.852 7.129 Å, 94.38 94.38 59.75°
Fractional coordinates of all 28 atoms:
Zn 0.048 0.706 0.839
Zn 0.294 0.952 0.161
Zn 0.706 0.048 0.839
Zn 0.952 0.294 0.161
P 0.024 0.024 0.861
P 0.276 0.276 0.112
P 0.371 0.371 0.809
P 0.629 0.629 0.191
P 0.724 0.724 0.888
P 0.976 0.976 0.139
S 0.069 0.069 0.320
S 0.081 0.762 0.158
S 0.089 0.407 0.231
S 0.238 0.919 0.842
S 0.258 0.258 0.810
S 0.263 0.559 0.685
S 0.389 0.389 0.110
S 0.407 0.089 0.231
S 0.441 0.737 0.315
S 0.559 0.263 0.685
S 0.593 0.911 0.769
S 0.611 0.611 0.890
S 0.737 0.441 0.315
S 0.742 0.742 0.190
S 0.762 0.081 0.158
S 0.911 0.593 0.769
S 0.919 0.238 0.842
S 0.931 0.931 0.680

Principal peaks in the range 2θ = 10–90°, low angle first:
Position (°2θ)	I (rel.)
12.46	100.0
14.97	35.5
16.33	68.7
25.11	65.1
27.98	50.6
28.58	63.7

---

Diffraction record for Zn3P2S8. The PXRD pattern is theoretical, not measured: it uses a DFT-relaxed cell (PBE, the Materials Project) and Cu Ka.
No peak broadening, texture or thermal motion is included.

Atomic structure:
Cell: 7.906 7.906 9.202 Å, 90.00 90.00 90.00°
Fractional coordinates of all 26 atoms:
Zn 0.000 0.000 0.000
Zn 0.000 0.500 0.018
Zn 0.000 0.500 0.482
Zn 0.500 0.000 0.518
Zn 0.500 0.000 0.982
Zn 0.500 0.500 0.500
P 0.243 0.257 0.250
P 0.257 0.757 0.750
P 0.743 0.243 0.750
P 0.757 0.743 0.250
S 0.023 0.748 0.862
S 0.033 0.236 0.375
S 0.236 0.967 0.625
S 0.248 0.523 0.638
S 0.252 0.023 0.138
S 0.264 0.467 0.125
S 0.467 0.736 0.875
S 0.477 0.248 0.362
S 0.523 0.752 0.362
S 0.533 0.264 0.875
S 0.736 0.533 0.125
S 0.748 0.977 0.138
S 0.752 0.477 0.638
S 0.764 0.033 0.625
S 0.967 0.764 0.375
S 0.977 0.252 0.862

Principal peaks in the range 2θ = 10–90°, low angle first:
Position (°2θ)	I (rel.)
14.77	15.0
18.57	24.4
29.80	100.0
45.92	25.1
51.45	34.5
55.70	25.9